Diffraction record for AgTe2NCl. The powder X-ray diffraction pattern is calculated, not measured: it uses the PBE geometry in Alexandria and Cu Kα, 1.54184 Å.

Largest 10 diffraction maxima, in order of falling intensity, 10 to 80 degrees two-theta:
- 31.36°, rel. 100
- 22.66°, rel. 64
- 39.04°, rel. 63
- 31.82°, rel. 39
- 44.95°, rel. 36
- 56.97°, rel. 34
- 27.59°, rel. 30
- 50.91°, rel. 30
- 15.53°, rel. 26
- 66.49°, rel. 21

Cell and atoms:
abc: 5.704 5.704 3.924
angles: 90.00 90.00 90.00
Space group P4/mmm (No. 123)
Symmetry-distinct sites (fractional):
Ag (0.000, 0.000, 0.000)
Te (0.000, 0.500, 0.000)
N (0.000, 0.000, 0.500)
Cl (0.500, 0.500, 0.500)



Diffraction record for Y6TlPd. The powder X-ray diffraction pattern is calculated, not measured: it uses the PBE geometry in Alexandria and Cu Kα, 1.54184 Å.

Largest 10 diffraction maxima, in order of falling intensity, 10 to 80 degrees two-theta:
- 29.15°, rel. 100
- 24.44°, rel. 57
- 17.42°, rel. 56
- 30.66°, rel. 41
- 39.21°, rel. 37
- 44.07°, rel. 32
- 39.12°, rel. 28
- 39.94°, rel. 20
- 44.15°, rel. 16
- 39.30°, rel. 14

Cell and atoms:
abc: 7.107 7.114 7.276
angles: 90.15 119.04 119.88
Space group P-1 (No. 2)
Symmetry-distinct sites (fractional):
Y (0.033, 0.070, 0.255)
Y (0.291, 0.721, 0.255)
Y (0.313, 0.535, 0.745)
Tl (0.500, 0.000, 0.000)
Pd (0.500, 0.500, 0.500)



Diffraction record for Zr2Ti2CdPd5. The powder X-ray diffraction pattern is calculated, not measured: it uses the PBE geometry in Alexandria and Cu Kα, 1.54184 Å.

Largest 10 diffraction maxima, in order of falling intensity, 10 to 80 degrees two-theta:
- 37.66°, rel. 100
- 39.35°, rel. 40
- 41.27°, rel. 34
- 35.08°, rel. 30
- 45.57°, rel. 28
- 30.87°, rel. 25
- 61.75°, rel. 20
- 42.84°, rel. 19
- 75.03°, rel. 14
- 64.32°, rel. 11

Cell and atoms:
abc: 9.441 9.441 3.981
angles: 90.00 90.00 90.00
Space group P4/mbm (No. 127)
Symmetry-distinct sites (fractional):
Zr (0.176, 0.324, 0.000)
Ti (0.123, 0.623, 0.000)
Cd (0.000, 0.000, 0.000)
Pd (0.000, 0.500, 0.500)
Pd (0.066, 0.791, 0.500)



Diffraction record for Lu3Pb. The powder X-ray diffraction pattern is calculated, not measured: it uses the PBE geometry in Alexandria and Cu Kα, 1.54184 Å.

Largest 10 diffraction maxima, in order of falling intensity, 10 to 80 degrees two-theta:
- 34.06°, rel. 100
- 34.76°, rel. 41
- 32.77°, rel. 34
- 64.38°, rel. 33
- 29.74°, rel. 20
- 59.33°, rel. 19
- 53.78°, rel. 17
- 30.53°, rel. 14
- 44.84°, rel. 13
- 63.09°, rel. 11

Cell and atoms:
abc: 3.500 10.931 5.855
angles: 90.00 90.00 90.00
Space group Imm2 (No. 44)
Symmetry-distinct sites (fractional):
Lu (0.000, 0.000, 0.000)
Lu (0.000, 0.236, 0.359)
Pb (0.000, 0.500, 0.025)



Diffraction record for Be2AlTe. The powder X-ray diffraction pattern is calculated, not measured: it uses the PBE geometry in Alexandria and Cu Kα, 1.54184 Å.

Largest 10 diffraction maxima, in order of falling intensity, 10 to 80 degrees two-theta:
- 16.49°, rel. 100
- 27.75°, rel. 99
- 34.86°, rel. 90
- 26.61°, rel. 89
- 29.87°, rel. 86
- 39.91°, rel. 61
- 27.30°, rel. 49
- 33.34°, rel. 44
- 48.53°, rel. 36
- 36.78°, rel. 30

Cell and atoms:
abc: 6.958 3.693 5.724
angles: 90.00 110.12 90.00
Space group Cm (No. 8)
Symmetry-distinct sites (fractional):
Be (0.000, 0.000, 0.000)
Be (0.165, 0.500, 0.980)
Al (0.389, 0.000, 0.198)
Te (0.079, 0.000, 0.623)



Diffraction record for Rb2SbCl7. The powder X-ray diffraction pattern is calculated, not measured: it uses the PBE geometry in Alexandria and Cu Kα, 1.54184 Å.

Largest 10 diffraction maxima, in order of falling intensity, 10 to 80 degrees two-theta:
- 18.09°, rel. 100
- 21.40°, rel. 69
- 24.40°, rel. 60
- 12.98°, rel. 53
- 39.39°, rel. 51
- 13.81°, rel. 49
- 36.52°, rel. 46
- 18.27°, rel. 41
- 36.33°, rel. 37
- 14.10°, rel. 34

Cell and atoms:
abc: 16.611 8.122 12.744
angles: 90.00 129.45 90.00
Space group C2/c (No. 15)
Symmetry-distinct sites (fractional):
Rb (0.139, 0.133, 0.032)
Sb (0.000, 0.310, 0.250)
Cl (0.000, 0.376, 0.750)
Cl (0.086, 0.039, 0.236)
Cl (0.128, 0.300, 0.491)
Cl (0.141, 0.402, 0.232)